No. 1
This entry pairs a crystal structure of In2Si2Pb2O9 with its computed powder diffraction line list. Radiation: Cu Kα. Structure: the PBE geometry in Alexandria.
Peak positions follow from Bragg's law for the DFT cell and can differ from measured ones.

Top 8 peaks for 2θ = 15–90°, low angle first:
16.60 deg, I 31.0; 24.61 deg, I 48.5; 26.12 deg, I 32.4; 28.98 deg, I 71.3; 29.83 deg, I 29.5; 30.29 deg, I 23.0; 31.10 deg, I 100.0; 47.59 deg, I 34.9

Structure:
```
data_In2Si2Pb2O9
_chemical_formula_sum 'In8 Si8 Pb8 O36'
_cell_length_a 10.685
_cell_length_b 11.606
_cell_length_c 7.235
_cell_angle_alpha 90.00
_cell_angle_beta 90.00
_cell_angle_gamma 90.00
_space_group_name_H-M_alt 'P n a 21'
_space_group_IT_number 33
loop_
_space_group_symop_operation_xyz
'x,y,z'
'-x,-y,z+1/2'
'-x+1/2,y+1/2,z+1/2'
'x+1/2,-y+1/2,z'
loop_
_atom_site_label
_atom_site_type_symbol
_atom_site_fract_x
_atom_site_fract_y
_atom_site_fract_z
In1 In 0.001 0.248 0.000
In2 In 0.249 0.911 0.515
Si1 Si 0.244 0.672 0.204
Si2 Si 0.248 0.661 0.780
Pb1 Pb 0.046 0.935 0.066
Pb2 Pb 0.048 0.453 0.573
O1 O 0.068 0.410 0.901
O2 O 0.068 0.904 0.624
O3 O 0.108 0.157 0.767
O4 O 0.109 0.637 0.691
O5 O 0.168 0.771 0.322
O6 O 0.172 0.546 0.203
O7 O 0.174 0.256 0.159
O8 O 0.177 0.037 0.302
O9 O 0.236 0.721 0.988
```

---

No. 2
This entry pairs a crystal structure of Sm6Dy3Ho with its computed powder diffraction line list. Radiation: Cu Kα. Structure: the PBE geometry in Alexandria.
Peak positions follow from Bragg's law for the DFT cell and can differ from measured ones.

Top 8 peaks for 2θ = 15–90°, low angle first:
28.49 deg, I 66.0; 28.83 deg, I 36.5; 30.87 deg, I 63.9; 31.12 deg, I 100.0; 32.02 deg, I 60.9; 32.66 deg, I 43.5; 33.39 deg, I 64.8; 56.05 deg, I 41.4

Structure:
```
data_Sm6Dy3Ho
_chemical_formula_sum 'Sm24 Dy12 Ho4'
_cell_length_a 9.759
_cell_length_b 21.230
_cell_length_c 6.405
_cell_angle_alpha 90.00
_cell_angle_beta 90.00
_cell_angle_gamma 90.00
_space_group_name_H-M_alt 'C m c 21'
_space_group_IT_number 36
loop_
_space_group_symop_operation_xyz
'x,y,z'
'-x,-y,z+1/2'
'-x,y,z'
'x,-y,z+1/2'
'x+1/2,y+1/2,z'
'-x+1/2,-y+1/2,z+1/2'
'-x+1/2,y+1/2,z'
'x+1/2,-y+1/2,z+1/2'
loop_
_atom_site_label
_atom_site_type_symbol
_atom_site_fract_x
_atom_site_fract_y
_atom_site_fract_z
Sm1 Sm 0.000 0.016 0.000
Sm2 Sm 0.000 0.301 0.975
Sm3 Sm 0.175 0.281 0.505
Sm4 Sm 0.181 0.440 0.749
Dy1 Dy 0.000 0.420 0.270
Dy2 Dy 0.168 0.126 0.670
Ho1 Ho 0.000 0.159 0.196
```

---

No. 3
This entry pairs a crystal structure of Na2Li3Tl2 with its computed powder diffraction line list. Radiation: Cu Kα. Structure: the PBE geometry in Alexandria.
Peak positions follow from Bragg's law for the DFT cell and can differ from measured ones.

Top 8 peaks for 2θ = 15–90°, low angle first:
20.22 deg, I 100.0; 24.82 deg, I 32.8; 28.74 deg, I 77.3; 32.22 deg, I 58.9; 35.39 deg, I 22.7; 38.33 deg, I 67.7; 53.16 deg, I 52.7; 57.45 deg, I 32.3

Structure:
```
data_Na2Li3Tl2
_chemical_formula_sum 'Na8 Li12 Tl8'
_cell_length_a 8.785
_cell_length_b 8.785
_cell_length_c 8.785
_cell_angle_alpha 90.00
_cell_angle_beta 90.00
_cell_angle_gamma 90.00
_space_group_name_H-M_alt 'I 21 3'
_space_group_IT_number 199
_space_group_name_Hall 'I 2b 2c 3'
loop_
_atom_site_label
_atom_site_type_symbol
_atom_site_fract_x
_atom_site_fract_y
_atom_site_fract_z
Na1 Na 0.163 0.337 0.663
Li1 Li 0.000 0.250 0.299
Tl1 Tl 0.043 0.043 0.043
```